Computed XRD peak list
Compound: Sm2Be6Pd9
Radiation: copper Kα
Structure: a cell relaxed with PBE
Neutral-atom scattering factors, no anomalous dispersion.

The 10 most intense peaks (15 to 90 degrees two-theta), most intense first:
2theta	I/Imax	h k l
37.0	100	2 0 0
32.9	54	1 0 3
46.5	36	2 0 3
42.4	32	1 1 3
27.1	23	0 0 3
69.0	23	2 0 6
57.5	22	2 1 3
25.7	20	1 0 2
66.7	19	2 2 0
78.8	11	4 0 0

Cell and atoms:
```
Sm2Be6Pd9
1.0
5.6077 0.0000 0.0000
-2.8039 4.8564 0.0000
0.0000 0.0000 9.8632
Sm Be Pd
2 6 9
Direct
0.0000 0.0000 0.1976
0.0000 0.0000 0.8024
0.3333 0.6667 0.1669
0.3333 0.6667 0.5000
0.3333 0.6667 0.8331
0.6667 0.3333 0.1669
0.6667 0.3333 0.5000
0.6667 0.3333 0.8331
0.0000 0.5000 0.0000
0.0000 0.5000 0.3370
0.0000 0.5000 0.6630
0.5000 0.0000 0.0000
0.5000 0.0000 0.3370
0.5000 0.0000 0.6630
0.5000 0.5000 0.0000
0.5000 0.5000 0.3370
0.5000 0.5000 0.6630
```


Computed XRD peak list
Compound: Sm3Be2SnPd9
Radiation: copper Kα
Structure: a cell relaxed with PBE
Neutral-atom scattering factors, no anomalous dispersion.

The 10 most intense peaks (15 to 90 degrees two-theta), most intense first:
2theta	I/Imax	h k l
39.9	100	2 0 2
36.2	94	0 2 1
28.6	31	0 0 3
62.4	27	2 2 0
45.7	21	2 0 3
38.5	19	0 0 4
52.9	19	0 2 4
75.8	15	2 2 4
61.2	15	0 2 5
76.7	14	0 4 2

Cell and atoms:
```
Sm3Be2SnPd9
1.0
5.9512 0.0000 0.0000
-2.9756 5.1539 0.0000
0.0000 0.0000 9.3495
Sm Be Sn Pd
3 2 1 9
Direct
0.0000 0.0000 0.0000
0.3333 0.6667 0.6864
0.6667 0.3333 0.3136
0.3333 0.6667 0.1448
0.6667 0.3333 0.8552
0.0000 0.0000 0.5000
0.0000 0.5000 0.0000
0.1621 0.3241 0.2765
0.1621 0.8379 0.2765
0.3241 0.1621 0.7235
0.5000 0.0000 0.0000
0.5000 0.5000 0.0000
0.6759 0.8379 0.2765
0.8379 0.1621 0.7235
0.8379 0.6759 0.7235
```


Computed XRD peak list
Compound: SmTiBe2Pd5
Radiation: copper Kα
Structure: a cell relaxed with PBE
Neutral-atom scattering factors, no anomalous dispersion.

The 10 most intense peaks (15 to 90 degrees two-theta), most intense first:
2theta	I/Imax	h k l
38.1	100	1 1 2
40.7	50	2 0 0
72.4	41	3 1 2
31.1	35	1 1 1
56.6	17	2 0 3
58.9	16	2 2 0
37.6	14	0 0 3
67.1	12	2 0 4
72.0	8	2 2 3
68.2	7	3 1 1

Cell and atoms:
```
SmTiBe2Pd5
1.0
4.4317 0.0000 0.0000
0.0000 4.4317 0.0000
0.0000 0.0000 7.1794
Sm Ti Be Pd
1 1 2 5
Direct
0.0000 0.0000 0.0000
0.0000 0.0000 0.5000
0.5000 0.5000 0.3416
0.5000 0.5000 0.6584
0.0000 0.5000 0.2882
0.0000 0.5000 0.7118
0.5000 0.0000 0.2882
0.5000 0.0000 0.7118
0.5000 0.5000 0.0000
```


Repeat the third record exactly.
Computed XRD peak list
Compound: SmTiBe2Pd5
Radiation: copper Kα
Structure: a cell relaxed with PBE
Neutral-atom scattering factors, no anomalous dispersion.

The 10 most intense peaks (15 to 90 degrees two-theta), most intense first:
2theta	I/Imax	h k l
38.1	100	1 1 2
40.7	50	2 0 0
72.4	41	3 1 2
31.1	35	1 1 1
56.6	17	2 0 3
58.9	16	2 2 0
37.6	14	0 0 3
67.1	12	2 0 4
72.0	8	2 2 3
68.2	7	3 1 1

Cell and atoms:
```
SmTiBe2Pd5
1.0
4.4317 0.0000 0.0000
0.0000 4.4317 0.0000
0.0000 0.0000 7.1794
Sm Ti Be Pd
1 1 2 5
Direct
0.0000 0.0000 0.0000
0.0000 0.0000 0.5000
0.5000 0.5000 0.3416
0.5000 0.5000 0.6584
0.0000 0.5000 0.2882
0.0000 0.5000 0.7118
0.5000 0.0000 0.2882
0.5000 0.0000 0.7118
0.5000 0.5000 0.0000
```